Starting from DFT lattice parameters and positions (PBE), the X-ray powder pattern of Tl2HgPb was simulated for Cu Kα.
Peak positions follow from Bragg's law for the DFT cell and can differ from measured ones.

Structural model:
a b c (Å): 3.3121 5.8369 12.8193
angles (deg): 90.00 90.00 90.00
Atoms (fractional coordinates):
Tl (0.0000, 0.0000, 0.2428)
Tl (0.0000, 0.0000, 0.7572)
Tl (0.5000, 0.5000, 0.2572)
Tl (0.5000, 0.5000, 0.7428)
Hg (0.0000, 0.0000, 0.0000)
Hg (0.5000, 0.5000, 0.5000)
Pb (0.0000, 0.0000, 0.5000)
Pb (0.5000, 0.5000, 0.0000)

The 10 most intense peaks (10° ≤ 2θ ≤ 80°), most intense first:
h k l  2theta  I_rel
1 1 0  31.05  100
1 1 4  42.18  87
0 0 4  27.84  65
0 2 0  30.63  52
0 2 4  41.87  44
1 3 4  62.49  28
1 1 8  66.81  22
1 3 0  54.71  21
2 2 4  71.86  19
2 0 4  63.20  13